# 1
Calculated powder diffractogram of NbSbH for Cu Kα X-rays, from a DFT-relaxed cell (GGA-PBE, Alexandria).
No peak broadening, texture or thermal motion is included.

Lattice parameters (Å, degrees): 10.8174 10.8174 10.8174 98.06 98.06 136.03
Atoms (fractional coordinates):
Nb1 0.1083 0.3900 0.1016
Nb2 0.1100 0.7116 0.7182
Nb3 0.1683 0.2753 0.3214
Nb4 0.2116 0.9934 0.6016
Nb5 0.2247 0.0460 0.8930
Nb6 0.3469 0.6683 0.3930
Nb7 0.4540 0.8469 0.1786
Nb8 0.4934 0.3917 0.7818
Nb9 0.5066 0.6083 0.2182
Nb10 0.5460 0.1531 0.8214
Nb11 0.6531 0.3317 0.6070
Nb12 0.7753 0.9540 0.1070
Nb13 0.7884 0.0066 0.3984
Nb14 0.8317 0.7247 0.6786
Nb15 0.8900 0.2884 0.2818
Nb16 0.8917 0.6100 0.8984
Sb1 0.0659 0.6456 0.4303
Sb2 0.1035 0.0046 0.1198
Sb3 0.1356 0.5659 0.9203
Sb4 0.1456 0.2153 0.5797
Sb5 0.2847 0.3644 0.9303
Sb6 0.3849 0.9838 0.3802
Sb7 0.4838 0.6035 0.5989
Sb8 0.4954 0.1151 0.0989
Sb9 0.5046 0.8849 0.9011
Sb10 0.5162 0.3965 0.4011
Sb11 0.6151 0.0162 0.6198
Sb12 0.7153 0.6356 0.0697
Sb13 0.8544 0.7847 0.4203
Sb14 0.8644 0.4341 0.0797
Sb15 0.8965 0.9954 0.8802
Sb16 0.9341 0.3544 0.5697
H1 0.0844 0.9846 0.7162
H2 0.1319 0.4156 0.4003
H3 0.1531 0.8250 0.9002
H4 0.2316 0.6319 0.2162
H5 0.2471 0.3469 0.1719
H6 0.3250 0.9248 0.6719
H7 0.4248 0.2529 0.5998
H8 0.4846 0.2684 0.9003
H9 0.5154 0.7316 0.0997
H10 0.5752 0.7471 0.4002
H11 0.6750 0.0752 0.3281
H12 0.7529 0.6531 0.8281
H13 0.7684 0.3681 0.7838
H14 0.8469 0.1750 0.0998
H15 0.8681 0.5844 0.5997
H16 0.9156 0.0154 0.2838

Principal peaks in the range 5° ≤ 2θ ≤ 70°, by intensity:
2θ 38.1, intensity 100; 2θ 35.8, intensity 94; 2θ 28.2, intensity 88; 2θ 40.5, intensity 79; 2θ 42.3, intensity 69; 2θ 38.4, intensity 61; 2θ 33.6, intensity 47; 2θ 34.8, intensity 43; 2θ 28.3, intensity 41; 2θ 25.2, intensity 40

# 2
Calculated powder diffractogram of NbSiSbH for Cu Kα X-rays, from a DFT-relaxed cell (GGA-PBE, Alexandria).
No peak broadening, texture or thermal motion is included.

Lattice parameters (Å, degrees): 5.0377 5.0559 9.3718 90.00 90.00 90.00
Atoms (fractional coordinates):
Nb1 0.0000 0.0000 0.0000
Nb2 0.0000 0.5000 0.5000
Nb3 0.5000 0.0000 0.5000
Nb4 0.5000 0.5000 0.0000
Si1 0.0000 0.0000 0.6080
Si2 0.0000 0.5000 0.1080
Si3 0.5000 0.0000 0.1080
Si4 0.5000 0.5000 0.6080
Sb1 0.0000 0.0000 0.3168
Sb2 0.0000 0.5000 0.8168
Sb3 0.5000 0.0000 0.8168
Sb4 0.5000 0.5000 0.3168
H1 0.0000 0.0000 0.7858
H2 0.0000 0.5000 0.2858
H3 0.5000 0.0000 0.2858
H4 0.5000 0.5000 0.7858

Principal peaks in the range 5° ≤ 2θ ≤ 70°, by intensity:
2θ 38.3, intensity 100; 2θ 26.7, intensity 43; 2θ 35.5, intensity 35; 2θ 35.6, intensity 35; 2θ 65.8, intensity 27; 2θ 51.2, intensity 24; 2θ 65.6, intensity 20; 2θ 53.4, intensity 15; 2θ 18.9, intensity 12; 2θ 38.4, intensity 10

# 3
Calculated powder diffractogram of NbSiH for Cu Kα X-rays, from a DFT-relaxed cell (GGA-PBE, Alexandria).
No peak broadening, texture or thermal motion is included.

Lattice parameters (Å, degrees): 3.4224 3.4224 3.5127 90.00 90.00 120.00
Atoms (fractional coordinates):
Nb1 0.0000 0.0000 0.0000
Si1 0.6667 0.3333 0.5011
H1 0.3333 0.6667 0.0238

Principal peaks in the range 5° ≤ 2θ ≤ 70°, by intensity:
2θ 39.8, intensity 100; 2θ 30.2, intensity 60; 2θ 53.6, intensity 26; 2θ 25.4, intensity 21; 2θ 68.8, intensity 19; 2θ 61.4, intensity 15; 2θ 60.1, intensity 11; 2θ 52.1, intensity 9; 2θ 62.7, intensity 7

# 4
Calculated powder diffractogram of Nb4Sn2H for Cu Kα X-rays, from a DFT-relaxed cell (GGA-PBE, Alexandria).
No peak broadening, texture or thermal motion is included.

Lattice parameters (Å, degrees): 7.3207 10.4228 3.2564 90.00 90.00 90.00
Atoms (fractional coordinates):
Nb1 0.1165 0.1872 0.0000
Nb2 0.1585 0.9173 0.5000
Nb3 0.3415 0.4173 0.5000
Nb4 0.3835 0.6872 0.0000
Nb5 0.6165 0.3128 0.0000
Nb6 0.6585 0.5827 0.5000
Nb7 0.8415 0.0827 0.5000
Nb8 0.8835 0.8128 0.0000
Sn1 0.0677 0.6292 0.5000
Sn2 0.4323 0.1292 0.5000
Sn3 0.5677 0.8708 0.5000
Sn4 0.9323 0.3708 0.5000
H1 0.0000 0.0000 0.0000
H2 0.5000 0.5000 0.0000

Principal peaks in the range 5° ≤ 2θ ≤ 70°, by intensity:
2θ 38.0, intensity 100; 2θ 35.6, intensity 51; 2θ 39.9, intensity 51; 2θ 36.6, intensity 28; 2θ 40.8, intensity 27; 2θ 45.5, intensity 24; 2θ 34.4, intensity 24; 2θ 32.4, intensity 23; 2θ 44.5, intensity 23; 2θ 27.4, intensity 22

# 5
Calculated powder diffractogram of Nb3SnH2 for Cu Kα X-rays, from a DFT-relaxed cell (GGA-PBE, Alexandria).
No peak broadening, texture or thermal motion is included.

Lattice parameters (Å, degrees): 5.4511 5.4488 5.4488 90.16 90.00 90.00
Atoms (fractional coordinates):
Nb1 0.0000 0.0000 0.0000
Nb2 0.2500 0.2557 0.5158
Nb3 0.2500 0.7632 0.5179
Nb4 0.5000 0.0000 0.0000
Nb5 0.7500 0.5158 0.2557
Nb6 0.7500 0.5179 0.7632
Sn1 0.2500 0.5057 0.0105
Sn2 0.7500 0.0105 0.5057
H1 0.0000 0.5098 0.5098
H2 0.2500 0.0074 0.2569
H3 0.5000 0.5098 0.5098
H4 0.7500 0.2569 0.0074

Principal peaks in the range 5° ≤ 2θ ≤ 70°, by intensity:
2θ 40.5, intensity 100; 2θ 36.9, intensity 97; 2θ 32.9, intensity 44; 2θ 63.9, intensity 35; 2θ 61.3, intensity 18; 2θ 68.9, intensity 18; 2θ 64.0, intensity 18; 2θ 61.4, intensity 3; 2θ 58.6, intensity 3; 2θ 58.7, intensity 3

# 6
Calculated powder diffractogram of SrNb2H for Cu Kα X-rays, from a DFT-relaxed cell (GGA-PBE, Alexandria).
No peak broadening, texture or thermal motion is included.

Lattice parameters (Å, degrees): 6.1286 6.1286 6.1286 60.00 60.00 60.00
Atoms (fractional coordinates):
Sr1 0.1250 0.1250 0.1250
Sr2 0.8750 0.8750 0.8750
Nb1 0.0000 0.5000 0.5000
Nb2 0.5000 0.0000 0.5000
Nb3 0.5000 0.5000 0.0000
Nb4 0.5000 0.5000 0.5000
H1 0.3750 0.3750 0.3750
H2 0.6250 0.6250 0.6250

Principal peaks in the range 5° ≤ 2θ ≤ 70°, by intensity:
2θ 34.3, intensity 100; 2θ 35.9, intensity 44; 2θ 55.1, intensity 34; 2θ 60.4, intensity 30; 2θ 29.1, intensity 25; 2θ 51.7, intensity 10; 2θ 17.7, intensity 9; 2θ 41.7, intensity 6; 2θ 68.5, intensity 4; 2θ 45.6, intensity 2

# 7
Calculated powder diffractogram of Ta2Nb3H8 for Cu Kα X-rays, from a DFT-relaxed cell (GGA-PBE, Alexandria).
No peak broadening, texture or thermal motion is included.

Lattice parameters (Å, degrees): 5.0925 3.1640 7.7440 90.00 103.49 90.00
Atoms (fractional coordinates):
Ta1 0.2351 0.0000 0.1861
Ta2 0.7649 0.0000 0.8139
Nb1 0.0000 0.0000 0.5000
Nb2 0.2601 0.5000 0.8080
Nb3 0.7399 0.5000 0.1920
H1 0.1300 0.5000 0.3440
H2 0.1469 0.0000 0.9264
H3 0.3529 0.5000 0.0792
H4 0.3748 0.0000 0.6747
H5 0.6252 0.0000 0.3253
H6 0.6471 0.5000 0.9208
H7 0.8531 0.0000 0.0736
H8 0.8700 0.5000 0.6560

Principal peaks in the range 5° ≤ 2θ ≤ 70°, by intensity:
2θ 37.2, intensity 100; 2θ 34.2, intensity 69; 2θ 23.7, intensity 69; 2θ 35.8, intensity 59; 2θ 38.9, intensity 54; 2θ 38.6, intensity 39; 2θ 36.3, intensity 32; 2θ 11.8, intensity 31; 2θ 62.1, intensity 28; 2θ 64.0, intensity 25

# 8
Calculated powder diffractogram of TaNb4H10 for Cu Kα X-rays, from a DFT-relaxed cell (GGA-PBE, Alexandria).
No peak broadening, texture or thermal motion is included.

Lattice parameters (Å, degrees): 5.5713 5.5713 5.5713 99.66 99.66 131.64
Atoms (fractional coordinates):
Ta1 0.0000 0.0000 0.0000
Nb1 0.2001 0.6004 0.8006
Nb2 0.3996 0.2001 0.5997
Nb3 0.6004 0.7999 0.4003
Nb4 0.7999 0.3996 0.1994
H1 0.0495 0.1490 0.7027
H2 0.1490 0.4463 0.0996
H3 0.2500 0.7500 0.5000
H4 0.3467 0.0495 0.9004
H5 0.4463 0.3467 0.2973
H6 0.5537 0.6533 0.7027
H7 0.6533 0.9505 0.0996
H8 0.7500 0.2500 0.5000
H9 0.8510 0.5537 0.9004
H10 0.9505 0.8510 0.2973

Principal peaks in the range 5° ≤ 2θ ≤ 70°, by intensity:
2θ 34.1, intensity 100; 2θ 39.7, intensity 31; 2θ 68.4, intensity 25; 2θ 57.2, intensity 23; 2θ 39.5, intensity 16; 2θ 68.2, intensity 13; 2θ 57.3, intensity 11; 2θ 23.1, intensity 5; 2θ 17.4, intensity 5; 2θ 24.8, intensity 2